1.
Structure and simulated powder X-ray diffraction pattern of La8PtRh2 (a structure optimized by DFT (GGA-PBE); λ = 1.5418 Å (Cu Kα)).
Lines closer than 0.1° are merged.

Crystal structure
```
La8PtRh2
1.0
4.164 -6.650 0.000
4.164 6.650 0.000
-2.367 0.000 6.205
La Pt Rh
8 1 2
Direct
0.000 0.000 0.000 La
0.159 0.566 0.197 La
0.259 0.989 0.575 La
0.435 0.706 0.821 La
0.566 0.159 0.197 La
0.694 0.694 0.388 La
0.706 0.435 0.821 La
0.989 0.259 0.575 La
0.339 0.339 0.969 Pt
0.028 0.658 0.691 Rh
0.658 0.028 0.691 Rh
```

Main lines, in order of rising 2θ (5 to 70 degrees two-theta):
d = 3.219 Å, I 26; d = 3.041 Å, I 100; d = 2.931 Å, I 44; d = 2.868 Å, I 29; d = 2.812 Å, I 55; d = 2.737 Å, I 38; d = 2.712 Å, I 47; d = 2.528 Å, I 33; d = 2.431 Å, I 75; d = 1.825 Å, I 35

2.
Structure and simulated powder X-ray diffraction pattern of Hf2CrGaNi (a structure optimized by DFT (GGA-PBE); λ = 1.5418 Å (Cu Kα)).
Lines closer than 0.1° are merged.

Crystal structure
```
Hf2CrGaNi
1.0
4.649 0.000 0.000
0.000 4.649 0.000
0.000 0.000 4.592
Hf Cr Ga Ni
2 1 1 1
Direct
0.000 0.500 0.000 Hf
0.500 0.000 0.000 Hf
0.000 0.000 0.000 Cr
0.000 0.000 0.500 Ga
0.500 0.500 0.500 Ni
```

Main lines, in order of rising 2θ (5 to 70 degrees two-theta):
d = 4.592 Å, I 36; d = 3.288 Å, I 11; d = 2.673 Å, I 100; d = 2.325 Å, I 52; d = 2.296 Å, I 25; d = 2.074 Å, I 18; d = 1.644 Å, I 18; d = 1.633 Å, I 35; d = 1.400 Å, I 27; d = 1.388 Å, I 13